# Mn2Tl2WO6
Theoretical X-ray diffraction stick pattern, copper Kα. Input: the PBE+U geometry in Alexandria.
Neutral-atom scattering factors, no anomalous dispersion.

Main lines, low angle first (15 to 90 degrees two-theta):
- 2θ 20.9, intensity 59, (1 1 -1)
- 2θ 23.3, intensity 60, (0 2 1)
- 2θ 24.5, intensity 100, (0 0 2)
- 2θ 25.3, intensity 38, (1 1 1)
- 2θ 34.4, intensity 45, (2 0 0)
- 2θ 34.5, intensity 68, (1 3 0)
- 2θ 37.4, intensity 26, (2 0 -2)
- 2θ 40.2, intensity 69, (1 3 -2)
- 2θ 45.2, intensity 35, (1 3 2)
- 2θ 58.4, intensity 29, (1 3 -4)
- 2θ 61.7, intensity 41, (3 3 -2)
- 2θ 72.9, intensity 26, (2 6 0)

Cell and atoms:
Cell: 5.364 8.985 7.494 Å, 90.00 103.76 90.00°
Space group C2/m (No. 12)
Unique sites:
Mn (0.000, 0.165, 0.000)
Tl (0.000, 0.173, 0.500)
W (0.000, 0.500, 0.000)
O (0.116, 0.000, 0.862)
O (0.116, 0.332, 0.863)